This entry pairs a crystal structure of Tl3VBr6 with its simulated powder diffraction line list. Radiation: copper Kα. Structure: a DFT-relaxed cell (PBE, Alexandria).
Lines closer than 0.1° are merged.

Cell and atoms:
```
Tl3VBr6
1.0
6.538 -3.851 0.000
6.538 3.851 0.000
-4.236 0.000 6.938
Tl V Br
3 1 6
Cartesian
0.000 0.000 0.000
0.085 0.000 4.981
8.754 0.000 1.957
4.420 0.000 3.469
2.898 1.802 4.468
3.037 0.000 1.314
5.941 1.802 2.470
2.898 -1.802 4.468
5.803 0.000 5.624
5.941 -1.802 2.470
```

Peak list (12 most intense, 10 to 80 degrees two-theta, low angle first)
- d 4.113, 21.61 deg, I = 58
- d 3.851, 23.09 deg, I = 24
- d 3.793, 23.46 deg, I = 62
- d 3.512, 25.36 deg, I = 31
- d 3.238, 27.55 deg, I = 26
- d 3.170, 28.15 deg, I = 30
- d 2.787, 32.12 deg, I = 100
- d 2.606, 34.41 deg, I = 29
- d 2.432, 36.96 deg, I = 27
- d 2.259, 39.90 deg, I = 29
- d 2.221, 40.62 deg, I = 31
- d 1.722, 53.19 deg, I = 23